(1)
For CrAgPd4, DFT lattice parameters and positions (PBE) gives the theoretical powder X-ray diffraction pattern in this record (Cu Kα, 1.54184 Å).
Peak positions follow from Bragg's law for the DFT cell and can differ from measured ones.

Crystal structure
a b c (Å): 2.837 3.864 8.491
angles (deg): 90.00 90.00 90.00
Space group Pmmm (No. 47)
Symmetry-distinct sites (fractional):
Cr: 0.000 0.000 0.000 x1
Ag: 0.500 0.500 0.500 x1
Pd: 0.000 0.000 0.323 x2
Pd: 0.500 0.500 0.158 x2

Peak list (6 most intense, 2θ from 10° to 80°, in order of falling intensity)
39.44 deg, 2.285 Å, intensity 100.0, (1 1 0)
45.26 deg, 2.004 Å, intensity 33.0, (1 0 3)
67.33 deg, 1.391 Å, intensity 19.3, (1 2 3)
47.03 deg, 1.932 Å, intensity 15.0, (0 2 0)
79.56 deg, 1.205 Å, intensity 11.9, (2 1 3)
79.68 deg, 1.203 Å, intensity 11.1, (1 1 6)

(2)
For NaCaLa2Te4, DFT lattice parameters and positions (PBE) gives the theoretical powder X-ray diffraction pattern in this record (Cu Kα, 1.54184 Å).
Peak positions follow from Bragg's law for the DFT cell and can differ from measured ones.

Crystal structure
a b c (Å): 7.909 4.565 7.929
angles (deg): 90.00 109.31 90.00
Space group P2/m (No. 10)
Symmetry-distinct sites (fractional):
Na: 0.000 0.000 0.000 x1
Ca: 0.500 0.500 0.000 x1
La: 0.000 0.500 0.500 x1
La: 0.500 0.000 0.500 x1
Te: 0.251 0.500 0.248 x2
Te: 0.253 0.000 0.756 x2

Peak list (6 most intense, 2θ from 10° to 80°, in order of falling intensity)
27.60 deg, 3.232 Å, intensity 100.0, (1 1 1)
39.37 deg, 2.288 Å, intensity 38.2, (2 0 2)
39.48 deg, 2.283 Å, intensity 38.0, (0 2 0)
48.84 deg, 1.865 Å, intensity 20.5, (4 0 0)
64.50 deg, 1.445 Å, intensity 17.4, (4 2 0)
56.98 deg, 1.616 Å, intensity 12.8, (2 2 2)

(3)
For K2Ga3Pt2, DFT lattice parameters and positions (PBE) gives the theoretical powder X-ray diffraction pattern in this record (Cu Kα, 1.54184 Å).
Peak positions follow from Bragg's law for the DFT cell and can differ from measured ones.

Crystal structure
a b c (Å): 4.184 6.532 7.161
angles (deg): 97.73 106.91 108.65
Space group P-1 (No. 2)
Symmetry-distinct sites (fractional):
K: 0.126 0.485 0.268 x2
Ga: 0.000 0.000 0.500 x1
Ga: 0.267 0.098 0.936 x2
Pt: 0.406 0.019 0.290 x2

Peak list (6 most intense, 2θ from 10° to 80°, in order of falling intensity)
14.79 deg, 5.991 Å, intensity 100.0, (0 1 0)
39.31 deg, 2.292 Å, intensity 29.8, (1 -1 2)
29.83 deg, 2.995 Å, intensity 26.5, (0 2 0)
32.90 deg, 2.722 Å, intensity 22.4, (1 1 0)
41.84 deg, 2.159 Å, intensity 19.1, (1 -2 2)
43.24 deg, 2.092 Å, intensity 13.6, (-2 1 1)

(4)
For Sc6Ag5Hg, DFT lattice parameters and positions (PBE) gives the theoretical powder X-ray diffraction pattern in this record (Cu Kα, 1.54184 Å).
Peak positions follow from Bragg's law for the DFT cell and can differ from measured ones.

Crystal structure
a b c (Å): 4.904 6.847 7.727
angles (deg): 90.00 108.37 90.00
Space group P2/m (No. 10)
Symmetry-distinct sites (fractional):
Sc: 0.000 0.247 0.000 x2
Sc: 0.332 0.247 0.663 x4
Ag: 0.165 0.000 0.330 x2
Ag: 0.168 0.500 0.335 x2
Ag: 0.500 0.000 0.000 x1
Hg: 0.500 0.500 0.000 x1

Peak list (6 most intense, 2θ from 10° to 80°, in order of falling intensity)
36.92 deg, 2.434 Å, intensity 100.0, (1 2 1)
25.73 deg, 3.462 Å, intensity 29.0, (1 0 1)
36.65 deg, 2.452 Å, intensity 25.6, (2 0 -1)
36.77 deg, 2.445 Å, intensity 25.3, (0 0 3)
66.17 deg, 1.412 Å, intensity 16.7, (3 2 0)
66.32 deg, 1.409 Å, intensity 16.5, (1 2 4)

(5)
For LaTb4Tl2, DFT lattice parameters and positions (PBE) gives the theoretical powder X-ray diffraction pattern in this record (Cu Kα, 1.54184 Å).
Peak positions follow from Bragg's law for the DFT cell and can differ from measured ones.

Crystal structure
a b c (Å): 9.312 9.312 5.207
angles (deg): 90.00 90.00 90.00
Space group P4_2/mnm (No. 136)
Symmetry-distinct sites (fractional):
La: 0.000 0.000 0.000 x2
Tb: 0.090 0.344 0.500 x8
Tl: 0.222 0.778 0.500 x4

Peak list (6 most intense, 2θ from 10° to 80°, in order of falling intensity)
35.01 deg, 2.563 Å, intensity 100.0, (3 1 1)
27.43 deg, 3.252 Å, intensity 68.6, (2 1 1)
32.17 deg, 2.783 Å, intensity 52.1, (2 2 1)
34.45 deg, 2.603 Å, intensity 44.6, (0 0 2)
39.92 deg, 2.258 Å, intensity 29.4, (4 1 0)
30.35 deg, 2.945 Å, intensity 26.9, (3 1 0)

(6)
For GdErSc2, DFT lattice parameters and positions (PBE) gives the theoretical powder X-ray diffraction pattern in this record (Cu Kα, 1.54184 Å).
Peak positions follow from Bragg's law for the DFT cell and can differ from measured ones.

Crystal structure
a b c (Å): 4.875 4.875 4.663
angles (deg): 90.00 90.00 90.00
Space group P4/mmm (No. 123)
Symmetry-distinct sites (fractional):
Gd: 0.000 0.000 0.000 x1
Er: 0.500 0.500 0.000 x1
Sc: 0.000 0.500 0.500 x2

Peak list (6 most intense, 2θ from 10° to 80°, in order of falling intensity)
32.30 deg, 2.772 Å, intensity 100.0, (1 1 1)
36.88 deg, 2.437 Å, intensity 34.8, (2 0 0)
19.03 deg, 4.663 Å, intensity 27.9, (0 0 1)
63.57 deg, 1.464 Å, intensity 27.6, (3 1 1)
25.85 deg, 3.447 Å, intensity 27.3, (1 1 0)
54.46 deg, 1.685 Å, intensity 22.2, (2 0 2)